Starting from a DFT-relaxed cell (GGA+U, Alexandria), the powder X-ray diffraction pattern of LiCo5O7F was simulated for Cu Kα.
Neutral-atom scattering factors, no anomalous dispersion.

Largest 8 diffraction maxima, low angle first, 2θ = 5–70°:
| Position (°2θ) | I/Imax |
| --- | --- |
| 18.5 | 88.8 |
| 18.9 | 31.2 |
| 35.7 | 49.7 |
| 35.9 | 100.0 |
| 36.4 | 39.8 |
| 43.8 | 83.4 |
| 63.0 | 47.4 |
| 64.2 | 43.7 |

Atomic structure:
a b c (Å): 5.8031 5.8031 5.8031
angles (deg): 61.13 61.13 61.13
Sites, in units of the cell vectors:
1 Li 0.0000 0.0000 0.0000
2 Co 0.3847 0.3847 0.3847
3 Co 0.3938 0.3938 0.8830
4 Co 0.3938 0.8830 0.3938
5 Co 0.7719 0.7719 0.7719
6 Co 0.8830 0.3938 0.3938
7 O 0.1514 0.1514 0.5841
8 O 0.1514 0.5841 0.1514
9 O 0.1839 0.6230 0.6230
10 O 0.5841 0.1514 0.1514
11 O 0.6230 0.1839 0.6230
12 O 0.6230 0.6230 0.1839
13 O 0.6375 0.6375 0.6375
14 F 0.1311 0.1311 0.1311